This entry pairs a crystal structure of Dy4TlBiN with its theoretical X-ray powder pattern. Radiation: a wavelength of 1.5418 Å. Structure: a crystal structure in Alexandria, relaxed with PBE.
Kinematic intensities with the Lorentz-polarization factor, no thermal factor.

Crystal structure
Lattice parameters (Å, degrees): 6.7036 16.0142 6.7100 90.00 90.00 90.00
Space group Cmcm (No. 63)
Symmetry-distinct sites (fractional):
Dy 0.0000 0.0904 0.2500 [4 per cell]
Dy 0.0000 0.4042 0.2500 [4 per cell]
Dy 0.2500 0.2500 0.0000 [8 per cell]
Tl 0.0000 0.1086 0.7500 [4 per cell]
Bi 0.0000 0.3955 0.7500 [4 per cell]
N 0.0000 0.2472 0.2500 [4 per cell]

Most intense lines, 2θ = 10–90°, by angle:
2theta	I/Imax
26.58	223
28.86	568
33.58	277
34.90	1000
37.95	564
51.56	332
54.75	197
63.07	128
64.48	202
65.77	160
66.59	315
89.54	176